[1]
Starting from DFT lattice parameters and positions (PBE), the X-ray diffraction stick pattern of LaBePt3 was simulated for Cu Kα, 1.54184 Å.
No peak broadening, texture or thermal motion is included.

Structural model:
Unit cell a=6.5955 b=4.1089 c=6.6040 alpha=90.00 beta=102.97 gamma=90.00
Fractional positions:
La: 0.1826 0.2500 0.1890
La: 0.8174 0.7500 0.8110
Be: 0.4398 0.2500 0.7450
Be: 0.5602 0.7500 0.2550
Pt: 0.0926 0.2500 0.6469
Pt: 0.3475 0.7500 0.9167
Pt: 0.3554 0.7500 0.5085
Pt: 0.6446 0.2500 0.4915
Pt: 0.6525 0.2500 0.0833
Pt: 0.9074 0.7500 0.3531

The 10 most intense peaks (2θ from 10° to 90°), sorted by position:
- 2θ 33.84, I 12
- 2θ 35.45, I 100
- 2θ 35.73, I 36
- 2θ 40.53, I 16
- 2θ 44.08, I 32
- 2θ 45.27, I 14
- 2θ 47.06, I 10
- 2θ 47.61, I 11
- 2θ 68.53, I 11
- 2θ 75.44, I 14

[2]
Starting from DFT lattice parameters and positions (PBE), the X-ray diffraction stick pattern of CeEr2TmTl4 was simulated for Cu Kα, 1.54184 Å.
No peak broadening, texture or thermal motion is included.

Structural model:
Unit cell a=9.3753 b=9.3753 c=9.3753 alpha=33.23 beta=33.23 gamma=33.23
Fractional positions:
Ce: 0.0000 0.0000 0.0000
Er: 0.2490 0.2490 0.2490
Er: 0.7510 0.7510 0.7510
Tm: 0.5000 0.5000 0.5000
Tl: 0.1266 0.1266 0.1266
Tl: 0.3771 0.3771 0.3771
Tl: 0.6229 0.6229 0.6229
Tl: 0.8734 0.8734 0.8734

The 10 most intense peaks (2θ from 10° to 90°), sorted by position:
- 2θ 33.18, I 100
- 2θ 33.42, I 99
- 2θ 47.81, I 36
- 2θ 59.13, I 19
- 2θ 59.59, I 38
- 2θ 59.74, I 19
- 2θ 69.65, I 12
- 2θ 70.21, I 12
- 2θ 79.49, I 16
- 2θ 79.89, I 17

[3]
Starting from DFT lattice parameters and positions (PBE), the X-ray diffraction stick pattern of Tb4NiSeS2 was simulated for Cu Kα, 1.54184 Å.
No peak broadening, texture or thermal motion is included.

Structural model:
Unit cell a=6.9532 b=3.9117 c=6.9849 alpha=90.00 beta=108.85 gamma=90.00
Fractional positions:
Tb: 0.2433 0.0000 0.2356
Tb: 0.2570 0.5000 0.7619
Tb: 0.7430 0.5000 0.2381
Tb: 0.7567 0.0000 0.7644
Ni: 0.0000 0.5000 0.0000
Se: 0.0000 0.0000 0.5000
S: 0.5000 0.0000 0.0000
S: 0.5000 0.5000 0.5000

The 10 most intense peaks (2θ from 10° to 90°), sorted by position:
- 2θ 26.98, I 18
- 2θ 27.10, I 18
- 2θ 27.71, I 35
- 2θ 31.57, I 51
- 2θ 31.79, I 100
- 2θ 44.70, I 19
- 2θ 45.33, I 36
- 2θ 45.49, I 37
- 2θ 46.43, I 17
- 2θ 57.23, I 19